[1]
# ZrFeNi
Computed XRD peak list, Cu Kα X-rays. Input: a cell relaxed with PBE.

Structure:
Unit cell a=4.892 b=4.951 c=7.062 alpha=90.00 beta=90.00 gamma=90.00
Space group Imma (No. 74)
Asymmetric unit:
Zr1 0.000 0.250 0.122 x4
Fe1 0.250 0.250 0.750 x4
Ni1 0.000 0.000 0.500 x4

Principal peaks in the range 10° ≤ 2θ ≤ 80°, sorted by position:
36.25 deg, d = 2.478 Å, rel. 98, hkl 1 1 2; 36.74 deg, d = 2.446 Å, rel. 22, hkl 2 0 0; 42.57 deg, d = 2.124 Å, rel. 95, hkl 0 1 3; 42.90 deg, d = 2.108 Å, rel. 100, hkl 1 2 1; 43.20 deg, d = 2.094 Å, rel. 85, hkl 2 1 1; 44.71 deg, d = 2.027 Å, rel. 36, hkl 0 2 2; 45.09 deg, d = 2.011 Å, rel. 40, hkl 2 0 2; 69.21 deg, d = 1.357 Å, rel. 21, hkl 1 0 5; 70.41 deg, d = 1.337 Å, rel. 21, hkl 3 2 1; 76.94 deg, d = 1.239 Å, rel. 43, hkl 2 2 4


[2]
# Zr4FeNi
Computed XRD peak list, Cu Kα X-rays. Input: a cell relaxed with PBE.

Structure:
Unit cell a=6.374 b=6.374 c=5.521 alpha=90.00 beta=90.00 gamma=90.00
Space group I422 (No. 97)
Asymmetric unit:
Zr1 0.171 0.329 0.250 x8
Fe1 0.000 0.000 0.500 x2
Ni1 0.000 0.000 0.000 x2

Principal peaks in the range 10° ≤ 2θ ≤ 80°, sorted by position:
32.43 deg, d = 2.760 Å, rel. 13, hkl 0 0 2; 35.44 deg, d = 2.533 Å, rel. 100, hkl 2 1 1; 38.23 deg, d = 2.354 Å, rel. 23, hkl 1 1 2; 40.01 deg, d = 2.254 Å, rel. 13, hkl 2 2 0; 43.37 deg, d = 2.087 Å, rel. 40, hkl 2 0 2; 44.97 deg, d = 2.016 Å, rel. 30, hkl 3 1 0; 59.82 deg, d = 1.546 Å, rel. 21, hkl 2 1 3; 62.38 deg, d = 1.489 Å, rel. 22, hkl 4 1 1; 67.92 deg, d = 1.380 Å, rel. 12, hkl 0 0 4; 71.49 deg, d = 1.320 Å, rel. 19, hkl 3 3 2